[1]
The following is a simulated X-ray diffraction stick pattern of NdH8W2. It was derived from the PBE geometry in Alexandria, using Cu Kα X-rays.
Lines closer than 0.1° are merged.

Cell and atoms:
Cell lengths 4.6079, 4.8500, 4.9075 Å; angles 60.51, 89.70, 89.46 degrees
Element x y z (fractional)
Nd1 0.0000 0.0000 0.0000
H1 0.1159 0.4436 0.2867
H2 0.1158 0.7349 0.7085
H3 0.3347 0.3601 0.6874
H4 0.3385 0.0480 0.3085
H5 0.4808 0.8040 0.9996
H6 0.7023 0.3945 0.9982
H7 0.7522 0.0455 0.5538
H8 0.7528 0.5992 0.4449
W1 0.4958 0.3860 0.3276
W2 0.4956 0.7149 0.6703

Main lines, most intense first (2θ = 10–80°):
2θ 28.52, intensity 100
2θ 36.59, intensity 86
2θ 28.81, intensity 67
2θ 19.26, intensity 40
2θ 37.07, intensity 39
2θ 39.10, intensity 36
2θ 28.59, intensity 35
2θ 54.48, intensity 28
2θ 54.71, intensity 27
2θ 46.88, intensity 20

[2]
The following is a simulated X-ray diffraction stick pattern of Dy14ScCd. It was derived from the PBE geometry in Alexandria, using Cu Kα X-rays.
Lines closer than 0.1° are merged.

Cell and atoms:
Cell lengths 9.9178, 6.9824, 6.9824 Å; angles 89.99, 90.00, 90.00 degrees
Element x y z (fractional)
Dy1 0.0000 0.0000 0.0000
Dy2 0.0000 0.0004 0.4993
Dy3 0.0000 0.4993 0.0004
Dy4 0.0000 0.4996 0.4996
Dy5 0.2538 0.7482 0.7482
Dy6 0.2550 0.2511 0.7488
Dy7 0.2550 0.7488 0.2511
Dy8 0.2560 0.2513 0.2513
Dy9 0.5000 0.5019 0.9990
Dy10 0.5000 0.9990 0.5019
Dy11 0.7440 0.2513 0.2513
Dy12 0.7450 0.2511 0.7488
Dy13 0.7450 0.7488 0.2511
Dy14 0.7462 0.7482 0.7482
Sc1 0.5000 0.5001 0.5001
Cd1 0.5000 0.9999 0.9999

Main lines, most intense first (2θ = 10–80°):
2θ 31.33, intensity 100
2θ 36.39, intensity 34
2θ 62.35, intensity 28
2θ 52.29, intensity 24
2θ 36.23, intensity 17
2θ 62.13, intensity 14
2θ 65.38, intensity 12
2θ 52.42, intensity 12
2θ 77.30, intensity 4
2θ 76.90, intensity 2